# 1
The following is a calculated powder diffractogram of CsNaZnS2. It was derived from a cell relaxed with GGA-PBE, using CuKα.
Kinematic intensities with the Lorentz-polarization factor, no thermal factor.

Atomic structure:
```
10
Lattice="3.3413 -7.3389 0.0000 3.3413 7.3389 0.0000 0.0000 0.0000 6.1798" Properties=species:S:1:pos:R:3 pbc="T T T"
Cs 3.3413 3.6694 4.6891
Cs 3.3413 -3.6694 1.4907
Na 1.6707 0.0000 3.0899
Na 5.0120 0.0000 3.0899
Zn 0.0000 0.0000 0.0000
Zn 3.3413 0.0000 0.0000
S 3.3413 5.7817 1.4846
S 3.3413 1.5572 1.4846
S 3.3413 -1.5572 4.6953
S 3.3413 -5.7817 4.6953
```

Main lines, in order of rising 2θ (2θ from 10° to 90°):
two_theta, I/Imax
20.49, 382
24.26, 234
26.68, 413
26.80, 1000
31.41, 393
36.43, 323
41.67, 211
47.18, 200

# 2
The following is a calculated powder diffractogram of Cs5NaSb2. It was derived from a cell relaxed with GGA-PBE, using CuKα.
Kinematic intensities with the Lorentz-polarization factor, no thermal factor.

Atomic structure:
```
16
Lattice="5.9460 -3.3537 0.0000 5.9460 3.3537 0.0000 -3.1814 0.0000 22.4137" Properties=species:S:1:pos:R:3 pbc="T T T"
Cs -0.1005 0.0000 2.9209
Cs -1.6392 0.0000 14.1519
Cs 0.7882 0.0000 21.2217
Cs 1.7460 0.0000 16.7119
Cs 2.3767 0.0000 12.3414
Cs 6.3340 0.0000 10.0723
Cs 6.9648 0.0000 5.7018
Cs 7.9225 0.0000 1.1921
Cs 10.3500 0.0000 8.2618
Cs 8.8112 0.0000 19.4928
Na 3.1289 0.0000 5.5803
Na 5.5819 0.0000 16.8335
Sb 2.3003 0.0000 8.4493
Sb 3.9508 0.0000 2.7125
Sb 4.7599 0.0000 19.7012
Sb 6.4104 0.0000 13.9644
```

Main lines, in order of rising 2θ (2θ from 10° to 90°):
two_theta, I/Imax
15.82, 192
21.22, 212
24.19, 280
25.90, 366
26.31, 1000
26.58, 988
46.76, 205
51.53, 158

# 3
The following is a calculated powder diffractogram of CsNaTmSe2. It was derived from a cell relaxed with GGA-PBE, using CuKα.
Kinematic intensities with the Lorentz-polarization factor, no thermal factor.

Atomic structure:
```
10
Lattice="3.6841 -7.9693 0.0000 3.6841 7.9693 0.0000 0.0000 0.0000 7.0673" Properties=species:S:1:pos:R:3 pbc="T T T"
Cs 3.6841 3.9846 5.3771
Cs 3.6841 -3.9846 1.6902
Na 0.0000 0.0000 3.5337
Na 3.6841 0.0000 3.5337
Tm 1.8421 0.0000 0.0000
Tm 5.5262 0.0000 0.0000
Se 3.6841 6.3229 1.1995
Se 3.6841 1.6464 1.1995
Se 3.6841 -1.6464 5.8678
Se 3.6841 -6.3229 5.8678
```

Main lines, in order of rising 2θ (2θ from 10° to 90°):
two_theta, I/Imax
12.52, 801
16.77, 380
24.19, 1000
26.66, 280
27.61, 432
35.19, 326
35.53, 311
42.55, 421

# 4
The following is a calculated powder diffractogram of Cs2NaYSe. It was derived from a cell relaxed with GGA-PBE, using CuKα.
Kinematic intensities with the Lorentz-polarization factor, no thermal factor.

Atomic structure:
```
5
Lattice="7.0221 0.0000 0.0000 0.0000 7.0221 0.0000 0.0000 0.0000 6.2633" Properties=species:S:1:pos:R:3 pbc="T T T"
Cs 0.0000 3.5110 0.0000
Cs 3.5110 0.0000 0.0000
Na 0.0000 0.0000 3.1316
Y 0.0000 0.0000 0.0000
Se 3.5110 3.5110 3.1316
```

Main lines, in order of rising 2θ (2θ from 10° to 90°):
two_theta, I/Imax
14.14, 572
18.99, 422
22.86, 928
25.37, 1000
28.50, 380
29.16, 407
36.18, 388
38.52, 652

# 5
The following is a calculated powder diffractogram of CsNa2Si17. It was derived from a cell relaxed with GGA-PBE, using CuKα.
Kinematic intensities with the Lorentz-polarization factor, no thermal factor.

Atomic structure:
```
40
Lattice="0.0000 7.4155 7.4155 7.4155 0.0000 7.4155 7.4155 7.4155 0.0000" Properties=species:S:1:pos:R:3 pbc="T T T"
Cs 1.8539 1.8539 1.8539
Cs 12.9772 12.9772 12.9772
Na 7.4155 3.7078 3.7078
Na 3.7078 7.4155 3.7078
Na 3.7078 3.7078 7.4155
Na 7.4155 7.4155 7.4155
Si 4.7125 4.7125 1.9282
Si 6.4108 6.4108 1.9282
Si 4.7125 1.9282 4.7125
Si 9.1950 6.4108 4.7125
Si 6.4108 1.9282 6.4108
Si 9.1950 4.7125 6.4108
Si 10.1185 8.4202 5.6360
Si 10.1185 5.6360 8.4202
Si 12.9028 8.4202 8.4202
Si 4.1944 4.1944 4.1944
Si 6.9288 6.9288 4.1944
Si 6.9288 4.1944 6.9288
Si 10.6366 7.9022 7.9022
Si 5.5616 5.5616 5.5616
Si 8.4202 10.1185 5.6360
Si 8.4202 5.6360 10.1185
Si 12.9028 10.1185 10.1185
Si 1.9282 4.7125 4.7125
Si 6.4108 9.1950 4.7125
Si 6.4108 4.7125 9.1950
Si 9.2694 9.2694 9.2694
Si 4.1944 6.9288 6.9288
Si 7.9022 10.6366 7.9022
Si 7.9022 7.9022 10.6366
Si 10.6366 10.6366 10.6366
Si 1.9282 6.4108 6.4108
Si 4.7125 9.1950 6.4108
Si 4.7125 6.4108 9.1950
Si 5.6360 10.1185 8.4202
Si 8.4202 12.9028 8.4202
Si 5.6360 8.4202 10.1185
Si 10.1185 12.9028 10.1185
Si 8.4202 8.4202 12.9028
Si 10.1185 10.1185 12.9028
```

Main lines, in order of rising 2θ (2θ from 10° to 90°):
two_theta, I/Imax
24.00, 262
26.19, 308
29.51, 687
31.34, 1000
34.20, 556
50.36, 266
52.34, 873
79.71, 299

# 6
The following is a calculated powder diffractogram of Cs3Na2Sn4. It was derived from a cell relaxed with GGA-PBE, using CuKα.
Kinematic intensities with the Lorentz-polarization factor, no thermal factor.

Atomic structure:
```
9
Lattice="6.0941 0.0000 0.0000 0.8400 7.8073 0.0000 2.4682 0.3338 8.0734" Properties=species:S:1:pos:R:3 pbc="T T T"
Cs 0.0000 0.0000 0.0000
Cs 3.7276 6.8134 2.7380
Cs 5.6748 1.3277 5.3354
Na 3.5254 4.4612 6.2884
Na 5.8769 3.6799 1.7850
Sn 2.5387 2.9668 3.5754
Sn 2.8946 2.7293 0.7251
Sn 6.5077 5.4118 7.3483
Sn 6.8636 5.1743 4.4981
```

Main lines, in order of rising 2θ (2θ from 10° to 90°):
two_theta, I/Imax
16.05, 479
24.60, 386
24.94, 550
26.35, 872
29.54, 1000
32.38, 396
32.70, 370
35.74, 371

# 7
The following is a calculated powder diffractogram of CsNaSnTe2. It was derived from a cell relaxed with GGA-PBE, using CuKα.
Kinematic intensities with the Lorentz-polarization factor, no thermal factor.

Atomic structure:
```
10
Lattice="8.2672 -2.6309 0.0000 8.2672 2.6309 0.0000 -0.9685 0.0000 10.7564" Properties=species:S:1:pos:R:3 pbc="T T T"
Cs 2.5488 0.0000 1.8753
Cs 13.0171 0.0000 8.8810
Na 2.5562 0.0000 6.0144
Na 13.0097 0.0000 4.7419
Sn 6.9608 0.0000 3.2322
Sn 8.6052 0.0000 7.5241
Te 1.4899 0.0000 8.8235
Te 5.6847 0.0000 5.9346
Te 9.8812 0.0000 4.8218
Te 14.0760 0.0000 1.9328
```

Main lines, in order of rising 2θ (2θ from 10° to 90°):
two_theta, I/Imax
19.33, 1000
19.74, 598
21.59, 976
23.42, 822
26.20, 594
29.62, 806
30.25, 794
34.08, 917

# 8
The following is a calculated powder diffractogram of CsNaSr2. It was derived from a cell relaxed with GGA-PBE, using CuKα.
Kinematic intensities with the Lorentz-polarization factor, no thermal factor.

Atomic structure:
```
4
Lattice="2.1961 1.2679 14.3773 -2.1961 1.2679 14.3773 0.0000 -2.5359 14.3773" Properties=species:S:1:pos:R:3 pbc="T T T"
Cs 0.0000 0.0000 0.0000
Na 0.0000 0.0000 7.1857
Sr 0.0000 0.0000 24.6731
Sr 0.0000 0.0000 32.8258
```

Main lines, in order of rising 2θ (2θ from 10° to 90°):
two_theta, I/Imax
18.51, 388
23.48, 239
24.80, 863
25.59, 1000
27.56, 467
41.08, 577
45.43, 223
48.58, 438

# 9
The following is a calculated powder diffractogram of Cs2NaTe2. It was derived from a cell relaxed with GGA-PBE, using CuKα.
Kinematic intensities with the Lorentz-polarization factor, no thermal factor.

Atomic structure:
```
10
Lattice="7.2630 -2.7087 0.0000 7.2630 2.7087 0.0000 -4.8488 0.0000 12.0547" Properties=species:S:1:pos:R:3 pbc="T T T"
Cs -1.5844 0.0000 4.1529
Cs 2.1064 0.0000 1.1670
Cs 7.5708 0.0000 10.8876
Cs 11.2615 0.0000 7.9018
Na 0.9931 0.0000 7.2639
Na 8.6840 0.0000 4.7907
Te 2.8637 0.0000 4.7951
Te 6.5197 0.0000 1.2064
Te 3.1575 0.0000 10.8483
Te 6.8135 0.0000 7.2595
```

Main lines, in order of rising 2θ (2θ from 10° to 90°):
two_theta, I/Imax
20.06, 426
24.65, 841
25.01, 301
26.41, 667
28.83, 1000
29.64, 338
33.07, 410
38.93, 288

# 10
The following is a calculated powder diffractogram of CsNa2Te2. It was derived from a cell relaxed with GGA-PBE, using CuKα.
Kinematic intensities with the Lorentz-polarization factor, no thermal factor.

Atomic structure:
```
10
Lattice="9.8650 0.0000 0.0000 0.0000 9.8650 0.0000 0.0000 0.0000 3.6757" Properties=species:S:1:pos:R:3 pbc="T T T"
Cs 0.0000 0.0000 0.0000
Cs 4.9325 4.9325 0.0000
Na 1.2253 3.7072 1.8378
Na 3.7072 8.6397 1.8378
Na 6.1579 1.2253 1.8378
Na 8.6397 6.1579 1.8378
Te 1.6083 6.5409 0.0000
Te 3.3242 1.6083 0.0000
Te 6.5409 8.2567 0.0000
Te 8.2567 3.3242 0.0000
```

Main lines, in order of rising 2θ (2θ from 10° to 90°):
two_theta, I/Imax
20.13, 700
24.21, 514
25.54, 278
28.61, 1000
31.68, 949
35.48, 233
37.83, 643
58.27, 261

# 11
The following is a calculated powder diffractogram of CsNaYTe2. It was derived from a cell relaxed with GGA-PBE, using CuKα.
Kinematic intensities with the Lorentz-polarization factor, no thermal factor.

Atomic structure:
```
10
Lattice="3.4578 -8.3644 0.0000 3.4578 8.3644 0.0000 0.0000 0.0000 7.5703" Properties=species:S:1:pos:R:3 pbc="T T T"
Cs 3.4578 4.1822 5.7318
Cs 3.4578 -4.1822 1.8385
Na 0.0000 0.0000 3.7851
Na 3.4578 0.0000 3.7851
Y 1.7289 0.0000 0.0000
Y 5.1867 0.0000 0.0000
Te 3.4578 6.4270 1.5757
Te 3.4578 1.9374 1.5757
Te 3.4578 -1.9374 5.9946
Te 3.4578 -6.4270 5.9946
```

Main lines, in order of rising 2θ (2θ from 10° to 90°):
two_theta, I/Imax
11.69, 223
23.63, 1000
25.80, 368
31.96, 340
35.15, 281
41.39, 158
44.16, 186
56.92, 124